Starting from a DFT-relaxed cell (PBE, Alexandria), the XRD peak list of CsPb2Cl8 was calculated for copper Kα.

Cell and atoms:
Cell: 8.0960 8.1047 8.4014 Å, 89.97 89.99 60.06°
Positions (direct):
Cs  0.0000  0.0000  0.0000
Pb  0.3333  0.3333  0.2296
Pb  0.6667  0.6667  0.7704
Cl  0.1630  0.6708  0.3235
Cl  0.1658  0.1629  0.3240
Cl  0.3290  0.8336  0.6760
Cl  0.3334  0.3329  0.9312
Cl  0.6666  0.6671  0.0688
Cl  0.6710  0.1664  0.3240
Cl  0.8342  0.8371  0.6760
Cl  0.8370  0.3292  0.6765

Principal peaks in the range 2θ = 10–80°, sorted by position:
2θ (°)	I_rel
16.46	100
21.94	51
24.39	23
24.70	21
33.27	22
34.48	24
35.49	32
47.20	20

***

Starting from a DFT-relaxed cell (PBE, Alexandria), the XRD peak list of YNi2W was calculated for copper Kα.

Cell and atoms:
Cell: 5.3876 5.3876 5.3876 Å, 45.47 45.47 45.47°
Positions (direct):
Y  0.0000  0.0000  0.0000
Ni  0.1980  0.1980  0.1980
Ni  0.8020  0.8020  0.8020
W  0.5000  0.5000  0.5000

Principal peaks in the range 2θ = 10–80°, sorted by position:
2θ (°)	I_rel
18.40	70
27.64	56
35.14	100
37.30	31
43.46	95
47.57	36
57.05	32
58.58	50

***

Starting from a DFT-relaxed cell (PBE, Alexandria), the XRD peak list of Ba2CaY was calculated for copper Kα.

Cell and atoms:
Cell: 7.4957 7.4957 3.8832 Å, 99.33 99.33 116.83°
Positions (direct):
Ba  0.0000  0.5000  0.0000
Ba  0.5000  0.0000  0.0000
Ca  0.0000  0.0000  0.5000
Y  0.5000  0.5000  0.5000

Principal peaks in the range 2θ = 10–80°, sorted by position:
2θ (°)	I_rel
13.87	17
27.68	68
27.92	100
28.25	32
40.15	25
48.86	21
49.31	20
49.47	27

***

Starting from a DFT-relaxed cell (PBE, Alexandria), the XRD peak list of Hf8Sn was calculated for copper Kα.

Cell and atoms:
Cell: 7.1192 7.1192 7.1192 Å, 95.35 95.35 144.46°
Positions (direct):
Hf  0.0000  0.3346  0.3346
Hf  0.0000  0.6654  0.6654
Hf  0.3317  0.3317  0.6634
Hf  0.3317  0.6683  0.0000
Hf  0.3346  0.0000  0.3346
Hf  0.6654  0.0000  0.6654
Hf  0.6683  0.3317  0.0000
Hf  0.6683  0.6683  0.3366
Sn  0.0000  0.0000  0.0000

Principal peaks in the range 2θ = 10–80°, sorted by position:
2θ (°)	I_rel
34.85	100
39.89	35
41.56	15
57.69	12
58.97	22
69.20	28
71.50	13
73.57	12

***

Starting from a DFT-relaxed cell (PBE, Alexandria), the XRD peak list of Li2ErZn2 was calculated for copper Kα.

Cell and atoms:
Cell: 12.9894 12.9894 12.9894 Å, 164.63 160.33 25.05°
Positions (direct):
Li  0.0449  0.2949  0.7500
Li  0.4442  0.1942  0.2500
Li  0.5558  0.8058  0.7500
Li  0.9551  0.7051  0.2500
Er  0.3260  0.5760  0.7500
Er  0.6740  0.4240  0.2500
Zn  0.1235  0.8735  0.2500
Zn  0.2253  0.9753  0.2500
Zn  0.7747  0.0247  0.7500
Zn  0.8765  0.1265  0.7500

Principal peaks in the range 2θ = 10–80°, sorted by position:
2θ (°)	I_rel
26.69	19
33.52	81
35.78	100
37.82	45
40.67	24
44.28	25
55.30	24
66.69	18

***

Starting from a DFT-relaxed cell (PBE, Alexandria), the XRD peak list of Mg3Si2H4O9 was calculated for copper Kα.

Cell and atoms:
Cell: 5.3698 5.3698 7.4150 Å, 90.00 90.00 120.00°
Positions (direct):
Mg  0.0000  0.6688  0.0000
Mg  0.3312  0.3312  0.0000
Mg  0.6688  0.0000  0.0000
Si  0.3333  0.6667  0.6207
Si  0.6667  0.3333  0.6207
H  0.0000  0.0000  0.7196
H  0.0000  0.3489  0.2629
H  0.3489  0.0000  0.2629
H  0.6511  0.6511  0.2629
O  0.0000  0.0000  0.8501
O  0.0000  0.3356  0.1322
O  0.0000  0.4882  0.5382
O  0.3333  0.6667  0.8379
O  0.3356  0.0000  0.1322
O  0.4882  0.0000  0.5382
O  0.5118  0.5118  0.5382
O  0.6644  0.6644  0.1322
O  0.6667  0.3333  0.8379

Principal peaks in the range 2θ = 10–80°, sorted by position:
2θ (°)	I_rel
11.94	86
19.08	34
22.57	45
24.00	51
35.56	100
41.53	46
50.17	31
60.71	28